Simulated powder diffraction line list of CaTlSeNF for a wavelength of 1.5418 Å, from DFT lattice parameters and positions (GGA-PBE).
No peak broadening, texture or thermal motion is included.

Largest 10 diffraction maxima, in order of rising 2θ, 2θ from 10° to 90°:
| d/Å | I (rel.) | index |
| --- | --- | --- |
| 8.761 | 100 | 2 0 0 |
| 4.381 | 24 | 4 0 0 |
| 3.514 | 20 | 1 1 0 |
| 3.206 | 26 | 2 0 -1 |
| 3.056 | 93 | 3 1 0 |
| 2.920 | 20 | 6 0 0 |
| 2.856 | 32 | 2 0 1 |
| 2.839 | 33 | 4 0 -1 |
| 2.507 | 27 | 5 1 0 |
| 2.413 | 50 | 1 1 -1 |

Structure:
```
CaTlSeNF
1.0
17.8014 0.0000 0.0000
0.0000 3.5867 0.0000
-0.5746 0.0000 3.2103
Ca Tl Se N F
2 2 2 2 2
Direct
0.0000 0.0000 0.0000
0.5000 0.5000 0.0000
0.2196 0.5000 0.7287
0.7196 0.0000 0.7287
0.3529 0.0000 0.3587
0.8529 0.5000 0.3587
0.4545 0.0000 0.4565
0.9545 0.5000 0.4565
0.0906 0.0000 0.5870
0.5906 0.5000 0.5870
```